(1)
Calculated X-ray diffraction stick pattern
Compound: Li3As5
Radiation: Cu Kα, 1.54184 Å
Structure: a crystal structure in Alexandria, relaxed with PBE
Lines closer than 0.1° are merged.

Principal peaks in the range 2θ = 10–90°, by angle:
Position (°2θ)  I_rel
22.5  100
29.1  21
35.6  15
38.6  11
39.8  10
40.9  11
42.7  24
43.2  13
44.1  13
46.2  12

Atomic structure:
a = 10.404 Å, b = 6.897 Å, c = 8.971 Å
α = 80.79°, β = 40.87°, γ = 58.34°
Sites, in units of the cell vectors:
Li 0.000 0.000 0.000
Li 0.250 0.250 0.250
Li 0.335 0.636 0.333
Li 0.555 0.917 0.614
Li 0.636 0.335 0.695
Li 0.917 0.555 0.915
As 0.124 0.531 0.041
As 0.209 0.945 0.126
As 0.406 0.406 0.594
As 0.428 0.830 0.467
As 0.531 0.124 0.305
As 0.656 0.656 0.844
As 0.783 0.975 0.822
As 0.830 0.428 0.275
As 0.945 0.209 0.719
As 0.975 0.783 0.420



(2)
Calculated X-ray diffraction stick pattern
Compound: LiMnAs
Radiation: Cu Kα, 1.54184 Å
Structure: a crystal structure in Alexandria, relaxed with PBE
Lines closer than 0.1° are merged.

Principal peaks in the range 2θ = 10–90°, by angle:
Position (°2θ)  I_rel
13.8  87
27.6  100
36.8  26
44.4  92
48.8  36
49.1  22
57.0  27
71.7  14
78.6  14
88.2  24

Atomic structure:
a = 3.734 Å, b = 3.734 Å, c = 6.422 Å
α = 90.00°, β = 90.00°, γ = 90.00°
Sites, in units of the cell vectors:
Li 0.250 0.250 0.159
Li 0.750 0.750 0.841
Mn 0.250 0.750 0.500
Mn 0.750 0.250 0.500
As 0.250 0.250 0.740
As 0.750 0.750 0.260



(3)
Calculated X-ray diffraction stick pattern
Compound: Li4MnAs
Radiation: Cu Kα, 1.54184 Å
Structure: a crystal structure in Alexandria, relaxed with PBE
Lines closer than 0.1° are merged.

Principal peaks in the range 2θ = 10–90°, by angle:
Position (°2θ)  I_rel
21.4  100
35.3  100
41.6  78
50.7  12
55.7  21
63.3  34
67.6  23
74.6  14
78.6  15
85.3  14

Atomic structure:
a = 5.090 Å, b = 5.090 Å, c = 5.090 Å
α = 60.00°, β = 60.00°, γ = 60.00°
Sites, in units of the cell vectors:
Li 0.125 0.125 0.125
Li 0.125 0.125 0.625
Li 0.125 0.625 0.125
Li 0.625 0.125 0.125
Mn 0.750 0.750 0.750
As 0.500 0.500 0.500



(4)
Calculated X-ray diffraction stick pattern
Compound: Li13Mn6As8
Radiation: Cu Kα, 1.54184 Å
Structure: a crystal structure in Alexandria, relaxed with PBE
Lines closer than 0.1° are merged.

Principal peaks in the range 2θ = 10–90°, by angle:
Position (°2θ)  I_rel
10.3  11
14.5  34
25.5  100
33.1  9
42.1  72
42.4  36
49.5  15
50.1  23
67.2  9
77.3  16

Atomic structure:
a = 8.580 Å, b = 6.037 Å, c = 8.596 Å
α = 90.00°, β = 90.89°, γ = 90.00°
Sites, in units of the cell vectors:
Li 0.000 0.000 0.000
Li 0.029 0.249 0.744
Li 0.029 0.751 0.744
Li 0.265 0.273 0.008
Li 0.265 0.727 0.008
Li 0.518 0.262 0.270
Li 0.518 0.738 0.270
Li 0.526 0.000 0.017
Li 0.764 0.271 0.030
Li 0.764 0.729 0.030
Li 0.766 0.235 0.503
Li 0.766 0.765 0.503
Li 0.773 0.500 0.771
Mn 0.017 0.255 0.264
Mn 0.017 0.745 0.264
Mn 0.268 0.246 0.507
Mn 0.268 0.754 0.507
Mn 0.509 0.246 0.751
Mn 0.509 0.754 0.751
As 0.012 0.500 0.009
As 0.024 0.500 0.504
As 0.262 0.000 0.260
As 0.270 0.000 0.754
As 0.508 0.500 0.519
As 0.518 0.500 0.995
As 0.760 0.000 0.773
As 0.773 0.000 0.252



(5)
Calculated X-ray diffraction stick pattern
Compound: Li3MnAs2
Radiation: Cu Kα, 1.54184 Å
Structure: a crystal structure in Alexandria, relaxed with PBE
Lines closer than 0.1° are merged.

Principal peaks in the range 2θ = 10–90°, by angle:
Position (°2θ)  I_rel
14.8  19
22.3  16
25.8  100
29.8  14
30.8  7
42.7  80
50.5  45
62.0  9
68.2  17
78.2  24

Atomic structure:
a = 4.234 Å, b = 4.234 Å, c = 11.993 Å
α = 90.00°, β = 90.00°, γ = 90.00°
Sites, in units of the cell vectors:
Li 0.250 0.750 0.004
Li 0.250 0.750 0.250
Li 0.250 0.750 0.496
Li 0.750 0.250 0.504
Li 0.750 0.250 0.750
Li 0.750 0.250 0.996
Mn 0.250 0.750 0.750
Mn 0.750 0.250 0.250
As 0.250 0.250 0.134
As 0.250 0.250 0.634
As 0.750 0.750 0.366
As 0.750 0.750 0.866



(6)
Calculated X-ray diffraction stick pattern
Compound: Li7MnAs4
Radiation: Cu Kα, 1.54184 Å
Structure: a crystal structure in Alexandria, relaxed with PBE
Lines closer than 0.1° are merged.

Principal peaks in the range 2θ = 10–90°, by angle:
Position (°2θ)  I_rel
14.8  15
18.1  21
25.8  100
29.9  17
42.6  38
42.8  21
50.3  10
50.6  28
68.1  7
78.3  10

Atomic structure:
a = 8.446 Å, b = 8.446 Å, c = 6.032 Å
α = 90.00°, β = 90.00°, γ = 90.07°
Sites, in units of the cell vectors:
Li 0.011 0.511 0.750
Li 0.011 0.989 0.750
Li 0.250 0.250 0.206
Li 0.250 0.250 0.706
Li 0.250 0.750 0.750
Li 0.489 0.511 0.750
Li 0.489 0.989 0.750
Li 0.511 0.011 0.250
Li 0.511 0.489 0.250
Li 0.750 0.250 0.250
Li 0.750 0.750 0.294
Li 0.750 0.750 0.794
Li 0.989 0.011 0.250
Li 0.989 0.489 0.250
Mn 0.250 0.750 0.250
Mn 0.750 0.250 0.750
As 0.017 0.750 0.035
As 0.250 0.517 0.465
As 0.250 0.983 0.465
As 0.483 0.750 0.035
As 0.517 0.250 0.965
As 0.750 0.017 0.535
As 0.750 0.483 0.535
As 0.983 0.250 0.965



(7)
Calculated X-ray diffraction stick pattern
Compound: Li7MnAs4
Radiation: Cu Kα, 1.54184 Å
Structure: a crystal structure in Alexandria, relaxed with PBE
Lines closer than 0.1° are merged.

Principal peaks in the range 2θ = 10–90°, by angle:
Position (°2θ)  I_rel
14.4  27
14.6  9
25.2  100
29.0  14
29.4  9
35.8  14
41.5  18
41.8  34
49.2  22
49.7  13

Atomic structure:
a = 6.151 Å, b = 6.151 Å, c = 6.071 Å
α = 90.00°, β = 90.00°, γ = 90.00°
Sites, in units of the cell vectors:
Li 0.000 0.000 0.000
Li 0.000 0.500 0.000
Li 0.000 0.500 0.500
Li 0.500 0.000 0.000
Li 0.500 0.000 0.500
Li 0.500 0.500 0.278
Li 0.500 0.500 0.722
Mn 0.000 0.000 0.500
As 0.218 0.218 0.272
As 0.218 0.782 0.728
As 0.782 0.218 0.728
As 0.782 0.782 0.272



(8)
Calculated X-ray diffraction stick pattern
Compound: Li2Mn2As2N
Radiation: Cu Kα, 1.54184 Å
Structure: a crystal structure in Alexandria, relaxed with PBE
Lines closer than 0.1° are merged.

Principal peaks in the range 2θ = 10–90°, by angle:
Position (°2θ)  I_rel
13.6  98
24.5  53
31.4  58
36.3  33
42.1  20
43.8  100
48.2  47
58.6  18
77.3  18
86.8  26

Atomic structure:
a = 3.778 Å, b = 3.778 Å, c = 13.034 Å
α = 90.00°, β = 90.00°, γ = 90.00°
Sites, in units of the cell vectors:
Li 0.000 0.000 0.165
Li 0.000 0.000 0.835
Li 0.500 0.500 0.335
Li 0.500 0.500 0.665
Mn 0.000 0.500 0.000
Mn 0.000 0.500 0.500
Mn 0.500 0.000 0.000
Mn 0.500 0.000 0.500
As 0.000 0.000 0.370
As 0.000 0.000 0.630
As 0.500 0.500 0.130
As 0.500 0.500 0.870
N 0.000 0.000 0.000
N 0.500 0.500 0.500



(9)
Calculated X-ray diffraction stick pattern
Compound: Li2MoAs2
Radiation: Cu Kα, 1.54184 Å
Structure: a crystal structure in Alexandria, relaxed with PBE
Lines closer than 0.1° are merged.

Principal peaks in the range 2θ = 10–90°, by angle:
Position (°2θ)  I_rel
24.2  100
30.3  47
38.6  13
39.1  61
43.4  51
46.0  14
49.5  16
50.2  57
59.1  14
67.9  26

Atomic structure:
a = 6.601 Å, b = 6.601 Å, c = 3.684 Å
α = 90.00°, β = 90.00°, γ = 90.00°
Sites, in units of the cell vectors:
Li 0.158 0.342 0.000
Li 0.342 0.842 0.000
Li 0.658 0.158 0.000
Li 0.842 0.658 0.000
Mo 0.000 0.000 0.500
Mo 0.500 0.500 0.500
As 0.149 0.649 0.500
As 0.351 0.149 0.500
As 0.649 0.851 0.500
As 0.851 0.351 0.500



(10)
Calculated X-ray diffraction stick pattern
Compound: LiPa2As2N2
Radiation: Cu Kα, 1.54184 Å
Structure: a crystal structure in Alexandria, relaxed with PBE
Lines closer than 0.1° are merged.

Principal peaks in the range 2θ = 10–90°, by angle:
Position (°2θ)  I_rel
17.4  54
18.8  37
26.5  69
30.0  39
31.4  100
33.3  40
36.7  45
37.7  52
46.8  34
57.0  23

Atomic structure:
a = 10.825 Å, b = 3.884 Å, c = 6.825 Å
α = 90.00°, β = 119.24°, γ = 90.00°
Sites, in units of the cell vectors:
Li 0.000 0.000 0.000
Li 0.500 0.500 0.000
Pa 0.199 0.000 0.757
Pa 0.301 0.500 0.243
Pa 0.699 0.500 0.757
Pa 0.801 0.000 0.243
As 0.055 0.500 0.355
As 0.445 0.000 0.645
As 0.555 0.000 0.355
As 0.945 0.500 0.645
N 0.205 0.000 0.087
N 0.295 0.500 0.913
N 0.705 0.500 0.087
N 0.795 0.000 0.913



(11)
Calculated X-ray diffraction stick pattern
Compound: LiPrAsN2
Radiation: Cu Kα, 1.54184 Å
Structure: a crystal structure in Alexandria, relaxed with PBE
Lines closer than 0.1° are merged.

Principal peaks in the range 2θ = 10–90°, by angle:
Position (°2θ)  I_rel
15.4  36
26.1  99
28.8  57
30.0  100
31.1  69
32.0  92
35.9  47
38.5  40
43.4  33
46.9  58

Atomic structure:
a = 5.876 Å, b = 4.113 Å, c = 6.285 Å
α = 90.00°, β = 102.02°, γ = 90.00°
Sites, in units of the cell vectors:
Li 0.000 0.011 0.250
Li 0.000 0.989 0.750
Pr 0.500 0.246 0.750
Pr 0.500 0.754 0.250
As 0.000 0.500 0.000
As 0.000 0.500 0.500
N 0.269 0.203 0.044
N 0.269 0.797 0.544
N 0.731 0.203 0.456
N 0.731 0.797 0.956



(12)
Calculated X-ray diffraction stick pattern
Compound: Li2PuAsN
Radiation: Cu Kα, 1.54184 Å
Structure: a crystal structure in Alexandria, relaxed with PBE
Lines closer than 0.1° are merged.

Principal peaks in the range 2θ = 10–90°, by angle:
Position (°2θ)  I_rel
20.3  96
21.2  59
29.5  38
30.2  91
36.7  100
43.2  37
48.2  44
52.0  40
61.3  26
75.0  25

Atomic structure:
a = 6.054 Å, b = 6.054 Å, c = 6.054 Å
α = 121.48°, β = 121.48°, γ = 87.46°
Sites, in units of the cell vectors:
Li 0.185 0.685 0.870
Li 0.315 0.185 0.500
Li 0.685 0.815 0.500
Li 0.815 0.315 0.130
Pu 0.250 0.250 0.000
Pu 0.750 0.750 0.000
As 0.250 0.750 0.500
As 0.750 0.250 0.500
N 0.000 0.000 0.000
N 0.500 0.500 0.000